Simulated PXRD pattern
Compound: Li4Y3FeO8
Radiation: Cu Kα
Structure: DFT lattice parameters and positions (PBE+U)

Main lines, low angle first (2θ from 5° to 70°):
| two_theta | Rel. int. |
| --- | --- |
| 22.12 | 1000 |
| 33.53 | 202 |
| 33.95 | 295 |
| 35.48 | 267 |
| 41.24 | 382 |
| 47.29 | 242 |
| 49.61 | 148 |
| 54.16 | 101 |
| 55.51 | 261 |
| 66.43 | 111 |

Cell and atoms:
```
Li4Y3FeO8
1.0
3.093 -5.061 0.000
3.093 5.061 0.000
0.000 0.000 6.197
Li Y Fe O
4 3 1 8
Direct
0.000 0.000 0.000
0.000 0.500 0.249
0.500 0.000 0.751
0.500 0.500 0.500
0.000 0.500 0.743
0.500 0.000 0.257
0.500 0.500 0.000
0.000 0.000 0.500
0.209 0.791 0.500
0.225 0.260 0.738
0.260 0.225 0.262
0.277 0.723 0.000
0.723 0.277 0.000
0.740 0.775 0.262
0.775 0.740 0.738
0.791 0.209 0.500
```